Record 1
For NbZn6, a GGA-PBE-relaxed structure gives the simulated powder X-ray diffraction pattern in this record (CuKα).
Intensities are scaled so that the largest is 100.

Structure:
a b c (Å): 5.523 5.523 5.523
angles (deg): 60.00 60.00 60.00
Positions (direct):
Nb: 0.000 0.000 0.000
Zn: 0.000 0.000 0.500
Zn: 0.000 0.500 0.000
Zn: 0.000 0.500 0.500
Zn: 0.500 0.000 0.000
Zn: 0.500 0.000 0.500
Zn: 0.500 0.500 0.000

The 10 most intense peaks (10° ≤ 2θ ≤ 90°), by angle:
| 2θ/deg | I/Imax |
| --- | --- |
| 19.69 | 21.3 |
| 38.21 | 11.3 |
| 39.98 | 100.0 |
| 46.50 | 47.9 |
| 50.96 | 4.8 |
| 61.71 | 3.6 |
| 67.88 | 29.0 |
| 71.45 | 3.4 |
| 81.79 | 33.5 |
| 86.28 | 9.8 |

***

Record 2
For KFeAuSe2S, a GGA-PBE-relaxed structure gives the simulated powder X-ray diffraction pattern in this record (CuKα).
Intensities are scaled so that the largest is 100.

Structure:
a b c (Å): 7.497 7.497 10.746
angles (deg): 90.00 90.00 151.70
Positions (direct):
K: 0.250 0.750 0.750
K: 0.750 0.250 0.250
Fe: 0.000 0.000 0.000
Fe: 0.000 0.000 0.500
Au: 0.460 0.540 0.250
Au: 0.540 0.460 0.750
Se: 0.386 0.614 0.032
Se: 0.386 0.614 0.468
Se: 0.614 0.386 0.532
Se: 0.614 0.386 0.968
S: 0.072 0.928 0.250
S: 0.928 0.072 0.750

The 10 most intense peaks (10° ≤ 2θ ≤ 90°), by angle:
| 2θ/deg | I/Imax |
| --- | --- |
| 12.18 | 100.0 |
| 14.71 | 23.0 |
| 25.06 | 34.5 |
| 29.67 | 22.6 |
| 31.72 | 44.0 |
| 33.35 | 33.6 |
| 34.94 | 46.4 |
| 35.63 | 15.6 |
| 43.13 | 24.6 |
| 52.87 | 19.0 |

***

Record 3
For Ho2GaFeBr2, a GGA-PBE-relaxed structure gives the simulated powder X-ray diffraction pattern in this record (CuKα).
Intensities are scaled so that the largest is 100.

Structure:
a b c (Å): 4.053 4.053 11.178
angles (deg): 90.00 90.00 120.00
Positions (direct):
Ho: 0.000 0.000 0.000
Ho: 0.000 0.000 0.335
Ga: 0.333 0.667 0.171
Fe: 0.667 0.333 0.169
Br: 0.333 0.667 0.834
Br: 0.667 0.333 0.503

The 10 most intense peaks (10° ≤ 2θ ≤ 90°), by angle:
| 2θ/deg | I/Imax |
| --- | --- |
| 25.37 | 15.8 |
| 26.62 | 30.8 |
| 30.06 | 35.8 |
| 35.12 | 100.0 |
| 41.29 | 13.0 |
| 44.71 | 43.5 |
| 58.09 | 23.2 |
| 68.40 | 24.0 |
| 76.16 | 20.8 |
| 82.39 | 15.7 |

***

Record 4
For Li2La2In2AgAu, a GGA-PBE-relaxed structure gives the simulated powder X-ray diffraction pattern in this record (CuKα).
Intensities are scaled so that the largest is 100.

Structure:
a b c (Å): 5.041 5.041 7.131
angles (deg): 90.00 90.00 90.00
Positions (direct):
Li: 0.000 0.000 0.000
Li: 0.500 0.500 0.500
La: 0.000 0.500 0.746
La: 0.500 0.000 0.254
In: 0.000 0.500 0.248
In: 0.500 0.000 0.752
Ag: 0.500 0.500 0.000
Au: 0.000 0.000 0.500

The 10 most intense peaks (10° ≤ 2θ ≤ 90°), by angle:
| 2θ/deg | I/Imax |
| --- | --- |
| 21.59 | 31.3 |
| 24.98 | 6.5 |
| 35.62 | 100.0 |
| 42.03 | 17.0 |
| 51.25 | 17.5 |
| 56.24 | 7.1 |
| 63.97 | 35.5 |
| 68.37 | 5.3 |
| 75.42 | 11.0 |
| 86.29 | 15.8 |

***

Record 5
For SiNi2Te, a GGA-PBE-relaxed structure gives the simulated powder X-ray diffraction pattern in this record (CuKα).
Intensities are scaled so that the largest is 100.

Structure:
a b c (Å): 3.851 7.266 4.638
angles (deg): 90.00 90.00 90.00
Positions (direct):
Si: 0.000 0.064 0.000
Si: 0.500 0.936 0.500
Ni: 0.000 0.147 0.480
Ni: 0.000 0.810 0.317
Ni: 0.500 0.190 0.817
Ni: 0.500 0.853 0.980
Te: 0.000 0.639 0.817
Te: 0.500 0.361 0.317

The 10 most intense peaks (10° ≤ 2θ ≤ 90°), by angle:
| 2θ/deg | I/Imax |
| --- | --- |
| 22.75 | 38.3 |
| 26.19 | 52.7 |
| 31.28 | 84.2 |
| 32.64 | 90.2 |
| 33.92 | 81.3 |
| 38.84 | 28.0 |
| 47.20 | 48.7 |
| 47.44 | 91.0 |
| 48.55 | 100.0 |
| 57.71 | 28.6 |

***

Record 6
For Li2DySiSe4, a GGA-PBE-relaxed structure gives the simulated powder X-ray diffraction pattern in this record (CuKα).
Intensities are scaled so that the largest is 100.

Structure:
a b c (Å): 7.275 10.396 5.676
angles (deg): 90.00 129.79 90.00
Positions (direct):
Li: 0.000 0.250 0.000
Li: 0.000 0.750 0.000
Li: 0.500 0.250 0.000
Li: 0.500 0.750 0.000
Dy: 0.091 0.000 0.497
Dy: 0.591 0.500 0.497
Si: 0.056 0.500 0.498
Si: 0.556 0.000 0.498
Se: 0.058 0.500 0.083
Se: 0.461 0.226 0.499
Se: 0.461 0.774 0.499
Se: 0.473 0.500 0.912
Se: 0.558 0.000 0.083
Se: 0.961 0.274 0.499
Se: 0.961 0.726 0.499
Se: 0.973 0.000 0.912

The 10 most intense peaks (10° ≤ 2θ ≤ 90°), by angle:
| 2θ/deg | I/Imax |
| --- | --- |
| 17.06 | 53.2 |
| 18.02 | 47.3 |
| 20.36 | 41.5 |
| 29.98 | 61.7 |
| 30.35 | 48.8 |
| 32.04 | 100.0 |
| 34.31 | 48.2 |
| 34.51 | 64.3 |
| 36.52 | 69.4 |
| 47.80 | 58.2 |

***

Record 7
For DyMgGe, a GGA-PBE-relaxed structure gives the simulated powder X-ray diffraction pattern in this record (CuKα).
Intensities are scaled so that the largest is 100.

Structure:
a b c (Å): 6.623 6.623 6.623
angles (deg): 90.00 90.00 90.00
Positions (direct):
Dy: 0.000 0.000 0.000
Dy: 0.000 0.500 0.500
Dy: 0.500 0.000 0.500
Dy: 0.500 0.500 0.000
Mg: 0.000 0.000 0.500
Mg: 0.000 0.500 0.000
Mg: 0.500 0.000 0.000
Mg: 0.500 0.500 0.500
Ge: 0.250 0.250 0.250
Ge: 0.250 0.750 0.750
Ge: 0.750 0.250 0.750
Ge: 0.750 0.750 0.250

The 10 most intense peaks (10° ≤ 2θ ≤ 90°), by angle:
| 2θ/deg | I/Imax |
| --- | --- |
| 23.26 | 84.7 |
| 26.92 | 22.8 |
| 38.44 | 100.0 |
| 45.42 | 43.6 |
| 55.50 | 17.1 |
| 60.98 | 18.2 |
| 69.53 | 34.5 |
| 74.43 | 13.6 |
| 82.36 | 10.9 |
| 87.04 | 14.1 |

***

Record 8
For Rb2Ag2MoS4, a GGA-PBE-relaxed structure gives the simulated powder X-ray diffraction pattern in this record (CuKα).
Intensities are scaled so that the largest is 100.

Structure:
a b c (Å): 7.400 7.400 6.080
angles (deg): 90.00 90.00 131.19
Positions (direct):
Rb: 0.000 0.500 0.240
Rb: 0.500 0.000 0.760
Ag: 0.000 0.000 0.000
Ag: 0.500 0.500 0.500
Mo: 0.000 0.000 0.500
S: 0.111 0.321 0.716
S: 0.321 0.111 0.284
S: 0.679 0.889 0.284
S: 0.889 0.679 0.716

The 10 most intense peaks (10° ≤ 2θ ≤ 90°), by angle:
| 2θ/deg | I/Imax |
| --- | --- |
| 13.14 | 53.9 |
| 21.64 | 45.2 |
| 26.45 | 42.6 |
| 28.70 | 100.0 |
| 32.15 | 78.6 |
| 32.31 | 77.1 |
| 41.91 | 61.9 |
| 50.24 | 32.2 |
| 50.41 | 32.3 |
| 50.52 | 32.0 |

***

Record 9
For Sr5Cd3, a GGA-PBE-relaxed structure gives the simulated powder X-ray diffraction pattern in this record (CuKα).
Intensities are scaled so that the largest is 100.

Structure:
a b c (Å): 4.070 4.070 18.318
angles (deg): 90.00 90.00 90.00
Positions (direct):
Sr: 0.000 0.000 0.000
Sr: 0.000 0.000 0.217
Sr: 0.000 0.000 0.783
Sr: 0.500 0.500 0.393
Sr: 0.500 0.500 0.607
Cd: 0.000 0.000 0.500
Cd: 0.500 0.500 0.111
Cd: 0.500 0.500 0.889

The 10 most intense peaks (10° ≤ 2θ ≤ 90°), by angle:
| 2θ/deg | I/Imax |
| --- | --- |
| 14.51 | 7.9 |
| 29.36 | 100.0 |
| 31.07 | 54.8 |
| 36.80 | 15.7 |
| 44.52 | 20.6 |
| 50.97 | 9.6 |
| 54.23 | 34.6 |
| 59.85 | 10.2 |
| 73.59 | 8.7 |
| 89.40 | 8.6 |

***

Record 10
For Nd3Sb5O12, a GGA-PBE-relaxed structure gives the simulated powder X-ray diffraction pattern in this record (CuKα).
Intensities are scaled so that the largest is 100.

Structure:
a b c (Å): 9.493 9.493 9.493
angles (deg): 109.47 109.47 109.47
Positions (direct):
Nd: 0.250 0.500 0.750
Nd: 0.250 0.750 0.500
Nd: 0.500 0.250 0.750
Nd: 0.500 0.750 0.250
Nd: 0.750 0.250 0.500
Nd: 0.750 0.500 0.250
Sb: 0.000 0.000 0.488
Sb: 0.000 0.275 0.275
Sb: 0.000 0.488 0.000
Sb: 0.000 0.725 0.725
Sb: 0.275 0.000 0.275
Sb: 0.275 0.275 0.000
Sb: 0.488 0.000 0.000
Sb: 0.512 0.512 0.512
Sb: 0.725 0.000 0.725
Sb: 0.725 0.725 0.000
O: 0.000 0.287 0.488
O: 0.000 0.488 0.287
O: 0.000 0.528 0.803
O: 0.000 0.803 0.528
O: 0.197 0.197 0.725
O: 0.197 0.725 0.197
O: 0.201 0.713 0.713
O: 0.275 0.472 0.472
O: 0.287 0.000 0.488
O: 0.287 0.488 0.000
O: 0.472 0.275 0.472
O: 0.472 0.472 0.275
O: 0.488 0.000 0.287
O: 0.488 0.287 0.000
O: 0.512 0.512 0.799
O: 0.512 0.799 0.512
O: 0.528 0.000 0.803
O: 0.528 0.803 0.000
O: 0.713 0.201 0.713
O: 0.713 0.713 0.201
O: 0.725 0.197 0.197
O: 0.799 0.512 0.512
O: 0.803 0.000 0.528
O: 0.803 0.528 0.000

The 10 most intense peaks (10° ≤ 2θ ≤ 90°), by angle:
| 2θ/deg | I/Imax |
| --- | --- |
| 11.42 | 9.7 |
| 28.20 | 100.0 |
| 32.68 | 34.8 |
| 46.88 | 44.0 |
| 55.61 | 40.1 |
| 58.32 | 9.3 |
| 68.47 | 5.8 |
| 75.63 | 14.4 |
| 77.95 | 12.0 |
| 87.11 | 10.4 |

***

Record 11
For SmSbBr2O2, a GGA-PBE-relaxed structure gives the simulated powder X-ray diffraction pattern in this record (CuKα).
Intensities are scaled so that the largest is 100.

Structure:
a b c (Å): 3.881 3.881 8.204
angles (deg): 90.00 90.00 90.00
Positions (direct):
Sm: 0.000 0.000 0.000
Sb: 0.500 0.500 0.707
Br: 0.000 0.000 0.505
Br: 0.500 0.500 0.186
O: 0.000 0.500 0.847
O: 0.500 0.000 0.847

The 10 most intense peaks (10° ≤ 2θ ≤ 90°), by angle:
| 2θ/deg | I/Imax |
| --- | --- |
| 10.78 | 24.4 |
| 31.74 | 100.0 |
| 32.63 | 44.6 |
| 39.51 | 10.3 |
| 46.83 | 24.7 |
| 50.32 | 11.6 |
| 55.97 | 15.5 |
| 57.67 | 35.7 |
| 71.16 | 8.2 |
| 77.83 | 7.7 |